1.
Computed powder XRD pattern
Compound: Tb3As2Rh6
Radiation: Cu Ka
Structure: a structure optimized by DFT (PBE)
No peak broadening, texture or thermal motion is included.

Principal peaks in the range 5° ≤ 2θ ≤ 70°, sorted by position:
two_theta  intensity  index
13.5  97  1 1 0
30.5  143  3 1 0
33.5  293  2 2 2
36.2  297  3 2 1
38.8  125  4 0 0
41.3  1000  3 3 0
54.2  103  5 2 1
59.8  87  6 0 0
61.6  126  5 3 2
66.9  165  6 2 2

Lattice parameters (Å, degrees): 9.277 9.277 9.277 90.00 90.00 90.00
Space group Im-3m (No. 229)
Symmetry-distinct sites (fractional):
1 Tb 0.000 0.000 0.282 (multiplicity 12)
2 As 0.250 0.250 0.250 (multiplicity 8)
3 Rh 0.000 0.346 0.346 (multiplicity 24)

---

2.
Computed powder XRD pattern
Compound: La4S3Br
Radiation: Cu Ka
Structure: a structure optimized by DFT (PBE)
No peak broadening, texture or thermal motion is included.

Principal peaks in the range 5° ≤ 2θ ≤ 70°, sorted by position:
two_theta  intensity  index
24.5  111  0 0 4
27.9  1000  1 0 2
35.3  480  0 1 4
44.1  338  1 1 0
45.3  203  1 0 6
51.1  98  1 1 4
53.0  168  0 2 2
57.7  111  2 0 4
65.0  68  0 2 6
69.0  118  1 1 8

Lattice parameters (Å, degrees): 4.1090 4.1090 14.5314 90.00 90.00 120.00
Space group P-3m1 (No. 164)
Symmetry-distinct sites (fractional):
1 La 0.3333 0.6667 0.3556 (multiplicity 2)
2 La 0.3333 0.6667 0.8782 (multiplicity 2)
3 S 0.0000 0.0000 0.0000 (multiplicity 1)
4 S 0.0000 0.0000 0.2428 (multiplicity 2)
5 Br 0.0000 0.0000 0.5000 (multiplicity 1)

---

3.
Computed powder XRD pattern
Compound: Pr4HoSc
Radiation: Cu Ka
Structure: a structure optimized by DFT (PBE)
No peak broadening, texture or thermal motion is included.

Principal peaks in the range 5° ≤ 2θ ≤ 70°, sorted by position:
two_theta  intensity  index
30.3  1000  2 0 0
30.5  960  1 3 -1
35.1  656  1 3 1
35.3  324  2 0 -2
50.3  118  2 0 2
50.7  461  3 3 -1
59.9  278  3 3 1
60.3  407  4 0 -2
60.4  135  3 3 -3
62.9  121  4 0 0

Lattice parameters (Å, degrees): 6.246 10.784 6.244 90.00 108.91 90.00
Space group C2/m (No. 12)
Symmetry-distinct sites (fractional):
1 Pr 0.000 0.162 0.000 (multiplicity 4)
2 Pr 0.000 0.334 0.500 (multiplicity 4)
3 Ho 0.000 0.500 0.000 (multiplicity 2)
4 Sc 0.000 0.000 0.500 (multiplicity 2)

---

4.
Computed powder XRD pattern
Compound: Sr5ErBi4
Radiation: Cu Ka
Structure: a structure optimized by DFT (PBE)
No peak broadening, texture or thermal motion is included.

Principal peaks in the range 5° ≤ 2θ ≤ 70°, sorted by position:
two_theta  intensity  index
19.0  377  4 0 -1
20.7  265  1 1 -1
21.7  255  1 1 1
27.4  630  6 0 0
28.9  1000  3 1 -2
33.0  859  3 1 2
36.1  658  0 2 0
42.8  256  0 0 4
45.9  280  6 2 0
57.2  240  0 2 4

Lattice parameters (Å, degrees): 19.983 4.975 8.648 90.00 102.39 90.00
Space group C2/m (No. 12)
Symmetry-distinct sites (fractional):
1 Sr 0.000 0.000 0.000 (multiplicity 2)
2 Sr 0.154 0.500 0.463 (multiplicity 4)
3 Sr 0.172 0.500 0.973 (multiplicity 4)
4 Er 0.000 0.000 0.500 (multiplicity 2)
5 Bi 0.022 0.500 0.735 (multiplicity 4)
6 Bi 0.196 0.000 0.233 (multiplicity 4)

---

5.
Computed powder XRD pattern
Compound: AgPt4
Radiation: Cu Ka
Structure: a structure optimized by DFT (PBE)
No peak broadening, texture or thermal motion is included.

Principal peaks in the range 5° ≤ 2θ ≤ 70°, sorted by position:
two_theta  intensity  index
8.6  109  0 0 2
17.2  19  0 0 4
32.4  12  1 0 1
39.0  1000  1 0 5
43.9  175  0 0 10
44.8  23  1 0 7
46.0  316  1 1 0
46.9  8  1 1 2
65.5  214  1 1 10
67.2  103  2 0 0

Lattice parameters (Å, degrees): 2.788 2.788 20.604 90.00 90.00 90.00
Space group I4/mmm (No. 139)
Symmetry-distinct sites (fractional):
1 Ag 0.000 0.000 0.000 (multiplicity 2)
2 Pt 0.000 0.000 0.201 (multiplicity 4)
3 Pt 0.000 0.000 0.396 (multiplicity 4)

---

6.
Computed powder XRD pattern
Compound: Pr5MgSi2
Radiation: Cu Ka
Structure: a structure optimized by DFT (PBE)
No peak broadening, texture or thermal motion is included.

Principal peaks in the range 5° ≤ 2θ ≤ 70°, sorted by position:
two_theta  intensity  index
26.0  584  2 1 1
28.0  273  1 1 4
30.8  1000  2 1 3
32.2  216  2 2 0
32.4  785  2 0 4
36.1  453  3 1 0
48.1  263  4 1 1
48.6  241  2 1 7
51.1  264  4 1 3
54.9  324  3 3 4

Lattice parameters (Å, degrees): 7.860 7.860 15.518 90.00 90.00 90.00
Space group I4/mcm (No. 140)
Symmetry-distinct sites (fractional):
1 Pr 0.000 0.000 0.000 (multiplicity 4)
2 Pr 0.176 0.324 0.135 (multiplicity 16)
3 Mg 0.000 0.000 0.250 (multiplicity 4)
4 Si 0.114 0.386 0.500 (multiplicity 8)